Structure and calculated XRD peak list of Ti7ZnPd3 (DFT lattice parameters and positions (GGA-PBE); a wavelength of 1.5418 Å).
Lines closer than 0.1° are merged.

Peak list (8 most intense, 2θ = 10–90°, in order of rising 2θ)
Position (°2θ)	d/Å	I/Imax	index
19.98	4.444	32	0 2 0
29.29	3.050	41	1 1 2
38.16	2.358	52	2 0 0
40.26	2.240	28	0 0 4
41.14	2.194	43	1 2 3
41.24	2.189	100	1 3 2
56.68	1.624	19	2 0 4
71.04	1.327	26	3 3 2

Atomic structure:
```
data_Ti7ZnPd3
_chemical_formula_sum 'Ti14 Zn2 Pd6'
_space_group_name_H-M_alt 'I m m m'
_space_group_IT_number 71
_space_group_name_Hall '-I 2 2'
_cell_length_a 4.7169
_cell_length_b 8.8887
_cell_length_c 8.9592
_cell_angle_alpha 90.00
_cell_angle_beta 90.00
_cell_angle_gamma 90.00
loop_
_atom_site_label
_atom_site_type_symbol
_atom_site_fract_x
_atom_site_fract_y
_atom_site_fract_z
Ti1 Ti 0.0000 0.0000 0.0000
Ti2 Ti 0.0000 0.2060 0.5000
Ti3 Ti 0.0000 0.3257 0.2274
Zn1 Zn 0.0000 0.5000 0.5000
Pd1 Pd 0.0000 0.0000 0.2947
Pd2 Pd 0.0000 0.5000 0.0000
```